This entry pairs a crystal structure of CaSc2Br with its calculated X-ray diffraction stick pattern. Radiation: Cu Kα (weighted mean of Kα1 and Kα2). Structure: a structure optimized by DFT (GGA-PBE).
Neutral-atom scattering factors, no anomalous dispersion.

Top 12 peaks for 10 to 90 degrees two-theta, in order of rising 2θ:
- d 2.739, intensity 100, (1 1 2)
- d 2.541, intensity 21, (0 2 0)
- d 2.316, intensity 16, (2 0 0)
- d 2.283, intensity 13, (0 0 4)
- d 2.275, intensity 6, (1 1 3)
- d 1.712, intensity 12, (2 2 0)
- d 1.698, intensity 10, (0 2 4)
- d 1.626, intensity 8, (2 0 4)
- d 1.503, intensity 14, (1 3 2)
- d 1.406, intensity 11, (3 1 2)
- d 1.391, intensity 8, (1 1 6)
- d 1.370, intensity 9, (2 2 4)

Cell: 4.6321 5.0830 9.1306 Å, 90.00 90.00 90.00°
Fractional coordinates of all 8 atoms:
Ca 0.0000 0.0000 0.0000
Ca 0.5000 0.5000 0.0000
Sc 0.0000 0.0000 0.5184
Sc 0.0000 0.5000 0.2906
Sc 0.5000 0.0000 0.2906
Sc 0.5000 0.5000 0.5184
Br 0.0000 0.5000 0.7539
Br 0.5000 0.0000 0.7539